Entry 1:
Structure and computed X-ray powder pattern of PrGa2Hg (the GGA-PBE geometry in OQMD; Cu Kα (weighted mean of Kα1 and Kα2)).
Peak positions follow from Bragg's law for the DFT cell and can differ from measured ones.

Cell and atoms:
```
data_PrGa2Hg
_cell_length_a 6.793
_cell_length_b 11.397
_cell_length_c 4.705
_cell_angle_alpha 90.00
_cell_angle_beta 90.00
_cell_angle_gamma 90.00
_space_group_name_H-M_alt 'C m c m'
_space_group_IT_number 63
_space_group_name_Hall '-C 2c 2'
loop_
_atom_site_label
_atom_site_fract_x
_atom_site_fract_y
_atom_site_fract_z
Pr1 0.000 0.161 0.250
Ga1 0.228 0.425 0.250
Hg1 0.000 0.348 0.750
```

Largest 10 diffraction maxima, sorted by position, 10° ≤ 2θ ≤ 90°:
- 2θ = 24.5°, I 28, hkl 0 2 1
- 2θ = 26.2°, I 12, hkl 2 0 0
- 2θ = 30.6°, I 19, hkl 2 2 0
- 2θ = 31.4°, I 17, hkl 0 4 0
- 2θ = 36.2°, I 100, hkl 2 2 1
- 2θ = 36.9°, I 36, hkl 0 4 1
- 2θ = 38.3°, I 28, hkl 0 0 2
- 2θ = 55.4°, I 15, hkl 2 6 0
- 2θ = 67.8°, I 16, hkl 2 2 3
- 2θ = 69.3°, I 16, hkl 2 6 2

Entry 2:
Structure and computed X-ray powder pattern of Pr2GaHg5 (the GGA-PBE geometry in OQMD; Cu Kα (weighted mean of Kα1 and Kα2)).
Peak positions follow from Bragg's law for the DFT cell and can differ from measured ones.

Cell and atoms:
```
data_Pr2GaHg5
_cell_length_a 5.023
_cell_length_b 6.742
_cell_length_c 11.859
_cell_angle_alpha 90.00
_cell_angle_beta 90.00
_cell_angle_gamma 90.00
_space_group_name_H-M_alt 'A m m 2'
_space_group_IT_number 38
loop_
_space_group_symop_operation_xyz
'x,y,z'
'-x,-y,z'
'-x,y,z'
'x,-y,z'
'x,y+1/2,z+1/2'
'-x,-y+1/2,z+1/2'
'-x,y+1/2,z+1/2'
'x,-y+1/2,z+1/2'
loop_
_atom_site_label
_atom_site_fract_x
_atom_site_fract_y
_atom_site_fract_z
Pr1 0.000 0.000 0.000
Pr2 0.500 0.000 0.335
Ga1 0.000 0.000 0.506
Hg1 0.000 0.243 0.744
Hg2 0.500 0.000 0.828
Hg3 0.500 0.237 0.582
```

Largest 10 diffraction maxima, sorted by position, 10° ≤ 2θ ≤ 90°:
- 2θ = 30.1°, I 13, hkl 0 0 4
- 2θ = 30.5°, I 26, hkl 0 2 2
- 2θ = 35.1°, I 53, hkl 1 0 4
- 2θ = 35.5°, I 100, hkl 1 2 2
- 2θ = 35.8°, I 33, hkl 2 0 0
- 2θ = 47.7°, I 15, hkl 2 2 2
- 2θ = 53.8°, I 20, hkl 0 2 6
- 2θ = 64.1°, I 18, hkl 3 2 2
- 2θ = 66.3°, I 22, hkl 2 2 6
- 2θ = 66.5°, I 16, hkl 1 4 4

Entry 3:
Structure and computed X-ray powder pattern of Ga2HgS4 (the GGA-PBE geometry in OQMD; Cu Kα (weighted mean of Kα1 and Kα2)).
Peak positions follow from Bragg's law for the DFT cell and can differ from measured ones.

Cell and atoms:
```
data_Ga2HgS4
_cell_length_a 7.941
_cell_length_b 10.380
_cell_length_c 5.611
_cell_angle_alpha 90.00
_cell_angle_beta 134.90
_cell_angle_gamma 90.00
_space_group_name_H-M_alt 'C 1 2 1'
_space_group_IT_number 5
loop_
_space_group_symop_operation_xyz
'x,y,z'
'-x,y,-z'
'x+1/2,y+1/2,z'
'-x+1/2,y+1/2,-z'
loop_
_atom_site_label
_atom_site_fract_x
_atom_site_fract_y
_atom_site_fract_z
Ga1 0.000 0.000 0.000
Ga2 0.000 0.250 0.500
Hg1 0.000 0.750 0.500
S1 0.228 0.113 0.498
S2 0.229 0.387 0.957
```

Largest 10 diffraction maxima, sorted by position, 10° ≤ 2θ ≤ 90°:
- 2θ = 17.1°, I 18, hkl 0 2 0
- 2θ = 18.0°, I 38, hkl 1 1 0
- 2θ = 22.4°, I 26, hkl 0 0 1
- 2θ = 28.3°, I 100, hkl 0 2 1
- 2θ = 30.3°, I 15, hkl 1 3 -1
- 2θ = 36.4°, I 18, hkl 2 2 0
- 2θ = 36.8°, I 18, hkl 3 1 -1
- 2θ = 45.7°, I 21, hkl 0 0 2
- 2θ = 47.7°, I 37, hkl 2 4 0
- 2θ = 54.6°, I 23, hkl 2 2 1

Entry 4:
Structure and computed X-ray powder pattern of Ga2HgSeS3 (the GGA-PBE geometry in OQMD; Cu Kα (weighted mean of Kα1 and Kα2)).
Peak positions follow from Bragg's law for the DFT cell and can differ from measured ones.

Cell and atoms:
```
data_Ga2HgSeS3
_cell_length_a 5.653
_cell_length_b 5.724
_cell_length_c 6.550
_cell_angle_alpha 114.69
_cell_angle_beta 114.68
_cell_angle_gamma 90.89
_space_group_name_H-M_alt 'P 1'
_space_group_IT_number 1
loop_
_space_group_symop_operation_xyz
'x,y,z'
loop_
_atom_site_label
_atom_site_fract_x
_atom_site_fract_y
_atom_site_fract_z
Ga1 0.000 0.000 0.000
Ga2 0.255 0.765 0.509
Hg1 0.759 0.257 0.505
Se1 0.355 0.396 0.218
S1 0.158 0.668 0.778
S2 0.624 0.117 0.778
S3 0.893 0.855 0.238
```

Largest 10 diffraction maxima, sorted by position, 10° ≤ 2θ ≤ 90°:
- 2θ = 16.8°, I 29, hkl 0 0 1
- 2θ = 17.9°, I 28, hkl 1 0 -1
- 2θ = 22.3°, I 33, hkl 1 1 -1
- 2θ = 27.7°, I 48, hkl -1 1 1
- 2θ = 27.8°, I 100, hkl 1 -1 1
- 2θ = 28.3°, I 40, hkl 1 1 -2
- 2θ = 35.9°, I 22, hkl 0 2 -2
- 2θ = 36.2°, I 27, hkl 2 0 -2
- 2θ = 44.7°, I 22, hkl 2 -2 0
- 2θ = 45.5°, I 21, hkl 2 2 -2

Entry 5:
Structure and computed X-ray powder pattern of Ga2HgTeS3 (the GGA-PBE geometry in OQMD; Cu Kα (weighted mean of Kα1 and Kα2)).
Peak positions follow from Bragg's law for the DFT cell and can differ from measured ones.

Cell and atoms:
```
data_Ga2HgTeS3
_cell_length_a 5.717
_cell_length_b 5.904
_cell_length_c 6.576
_cell_angle_alpha 113.35
_cell_angle_beta 113.43
_cell_angle_gamma 92.35
_space_group_name_H-M_alt 'P 1'
_space_group_IT_number 1
loop_
_space_group_symop_operation_xyz
'x,y,z'
loop_
_atom_site_label
_atom_site_fract_x
_atom_site_fract_y
_atom_site_fract_z
Ga1 0.000 0.000 0.000
Ga2 0.263 0.786 0.522
Hg1 0.493 0.520 0.011
Te1 0.888 0.372 0.311
S1 0.107 0.103 0.739
S2 0.354 0.909 0.263
S3 0.627 0.669 0.739
```

Largest 10 diffraction maxima, sorted by position, 10° ≤ 2θ ≤ 90°:
- 2θ = 16.5°, I 23, hkl 0 0 1
- 2θ = 17.8°, I 35, hkl 1 0 -1
- 2θ = 22.1°, I 37, hkl 1 1 -1
- 2θ = 26.8°, I 48, hkl -1 1 1
- 2θ = 27.1°, I 100, hkl 1 -1 1
- 2θ = 28.3°, I 28, hkl 1 1 -2
- 2θ = 29.7°, I 23, hkl 0 1 -2
- 2θ = 35.3°, I 24, hkl 0 2 -2
- 2θ = 43.2°, I 23, hkl 2 -2 0
- 2θ = 44.6°, I 26, hkl 0 2 1

Entry 6:
Structure and computed X-ray powder pattern of SmGa2Hg (the GGA-PBE geometry in OQMD; Cu Kα (weighted mean of Kα1 and Kα2)).
Peak positions follow from Bragg's law for the DFT cell and can differ from measured ones.

Cell and atoms:
```
data_SmGa2Hg
_cell_length_a 3.6272
_cell_length_b 3.6272
_cell_length_c 17.1778
_cell_angle_alpha 90.00
_cell_angle_beta 90.00
_cell_angle_gamma 120.00
_space_group_name_H-M_alt 'P 63/m m c'
_space_group_IT_number 194
_space_group_name_Hall '-P 6c 2c'
loop_
_atom_site_label
_atom_site_fract_x
_atom_site_fract_y
_atom_site_fract_z
Sm1 0.0000 0.0000 0.0000
Ga1 0.3333 0.6667 0.1367
Hg1 0.3333 0.6667 0.7500
```

Largest 10 diffraction maxima, sorted by position, 10° ≤ 2θ ≤ 90°:
- 2θ = 20.7°, I 27, hkl 0 0 4
- 2θ = 30.3°, I 100, hkl 1 0 2
- 2θ = 32.5°, I 72, hkl 1 0 3
- 2θ = 38.8°, I 64, hkl 1 0 5
- 2θ = 42.1°, I 23, hkl 0 0 8
- 2θ = 42.7°, I 28, hkl 1 0 6
- 2θ = 50.3°, I 45, hkl 1 1 0
- 2θ = 59.9°, I 15, hkl 2 0 2
- 2θ = 61.5°, I 18, hkl 1 0 10
- 2θ = 67.6°, I 33, hkl 1 1 8

Entry 7:
Structure and computed X-ray powder pattern of HoTmGa2I2 (the GGA-PBE geometry in OQMD; Cu Kα (weighted mean of Kα1 and Kα2)).
Peak positions follow from Bragg's law for the DFT cell and can differ from measured ones.

Cell and atoms:
```
data_HoTmGa2I2
_cell_length_a 4.1717
_cell_length_b 4.1717
_cell_length_c 12.0742
_cell_angle_alpha 90.00
_cell_angle_beta 90.00
_cell_angle_gamma 120.00
_space_group_name_H-M_alt 'P 3 m 1'
_space_group_IT_number 156
loop_
_space_group_symop_operation_xyz
'x,y,z'
'-y,x-y,z'
'-x+y,-x,z'
'-y,-x,z'
'-x+y,y,z'
'x,x-y,z'
loop_
_atom_site_label
_atom_site_fract_x
_atom_site_fract_y
_atom_site_fract_z
Ho1 0.0000 0.0000 0.0000
Tm1 0.0000 0.0000 0.6701
Ga1 0.3333 0.6667 0.8634
Ga2 0.6667 0.3333 0.8065
I1 0.3333 0.6667 0.5064
I2 0.6667 0.3333 0.1641
```

Largest 10 diffraction maxima, sorted by position, 10° ≤ 2θ ≤ 90°:
- 2θ = 14.7°, I 11, hkl 0 0 2
- 2θ = 25.7°, I 37, hkl 1 0 1
- 2θ = 28.8°, I 41, hkl 1 0 2
- 2θ = 33.3°, I 100, hkl 1 0 3
- 2θ = 38.9°, I 11, hkl 0 1 4
- 2θ = 43.4°, I 46, hkl 1 1 0
- 2θ = 45.2°, I 16, hkl 0 1 5
- 2θ = 55.8°, I 23, hkl 0 2 3
- 2θ = 64.3°, I 28, hkl 1 1 6
- 2θ = 73.2°, I 20, hkl 2 1 3

Entry 8:
Structure and computed X-ray powder pattern of HoInGa4Ir (the GGA-PBE geometry in OQMD; Cu Kα (weighted mean of Kα1 and Kα2)).
Peak positions follow from Bragg's law for the DFT cell and can differ from measured ones.

Cell and atoms:
```
data_HoInGa4Ir
_cell_length_a 4.436
_cell_length_b 4.436
_cell_length_c 6.863
_cell_angle_alpha 90.00
_cell_angle_beta 90.00
_cell_angle_gamma 90.00
_space_group_name_H-M_alt 'P 4/m m m'
_space_group_IT_number 123
_space_group_name_Hall '-P 4 2'
loop_
_atom_site_label
_atom_site_fract_x
_atom_site_fract_y
_atom_site_fract_z
Ho1 0.000 0.000 0.000
In1 0.500 0.500 0.000
Ga1 0.000 0.500 0.306
Ir1 0.000 0.000 0.500
```

Largest 10 diffraction maxima, sorted by position, 10° ≤ 2θ ≤ 90°:
- 2θ = 20.0°, I 31, hkl 1 0 0
- 2θ = 23.9°, I 15, hkl 1 0 1
- 2θ = 31.4°, I 14, hkl 1 1 1
- 2θ = 33.0°, I 18, hkl 1 0 2
- 2θ = 38.9°, I 100, hkl 1 1 2
- 2θ = 40.7°, I 54, hkl 2 0 0
- 2θ = 53.4°, I 15, hkl 0 0 4
- 2θ = 58.9°, I 18, hkl 2 2 0
- 2θ = 69.2°, I 12, hkl 2 0 4
- 2θ = 72.8°, I 35, hkl 3 1 2

Entry 9:
Structure and computed X-ray powder pattern of Ho2InGa3Ni2 (the GGA-PBE geometry in OQMD; Cu Kα (weighted mean of Kα1 and Kα2)).
Peak positions follow from Bragg's law for the DFT cell and can differ from measured ones.

Cell and atoms:
```
data_Ho2InGa3Ni2
_cell_length_a 10.119
_cell_length_b 4.161
_cell_length_c 6.860
_cell_angle_alpha 90.00
_cell_angle_beta 90.97
_cell_angle_gamma 90.00
_space_group_name_H-M_alt 'C 1 m 1'
_space_group_IT_number 8
loop_
_space_group_symop_operation_xyz
'x,y,z'
'x,-y,z'
'x+1/2,y+1/2,z'
'x+1/2,-y+1/2,z'
loop_
_atom_site_label
_atom_site_fract_x
_atom_site_fract_y
_atom_site_fract_z
Ho1 0.000 0.000 0.000
Ho2 0.142 0.000 0.523
In1 0.212 0.500 0.208
Ga1 0.218 0.500 0.806
Ga2 0.424 0.000 0.310
Ga3 0.433 0.000 0.699
Ni1 0.289 0.000 0.990
Ni2 0.366 0.500 0.519
```

Largest 10 diffraction maxima, sorted by position, 10° ≤ 2θ ≤ 90°:
- 2θ = 34.2°, I 36, hkl 3 1 0
- 2θ = 34.9°, I 86, hkl 1 1 -2
- 2θ = 35.2°, I 100, hkl 1 1 2
- 2θ = 36.6°, I 87, hkl 3 1 -1
- 2θ = 36.9°, I 60, hkl 3 1 1
- 2θ = 38.1°, I 40, hkl 4 0 1
- 2θ = 43.2°, I 31, hkl 2 0 -3
- 2θ = 43.5°, I 67, hkl 0 2 0
- 2θ = 43.7°, I 42, hkl 2 0 3
- 2θ = 68.8°, I 32, hkl 7 1 0

Entry 10:
Structure and computed X-ray powder pattern of Ho2InGaPd4 (the GGA-PBE geometry in OQMD; Cu Kα (weighted mean of Kα1 and Kα2)).
Peak positions follow from Bragg's law for the DFT cell and can differ from measured ones.

Cell and atoms:
```
data_Ho2InGaPd4
_cell_length_a 4.5018
_cell_length_b 4.5018
_cell_length_c 8.9861
_cell_angle_alpha 90.00
_cell_angle_beta 90.00
_cell_angle_gamma 120.00
_space_group_name_H-M_alt 'P -3 m 1'
_space_group_IT_number 164
_space_group_name_Hall '-P 3 2"'
loop_
_atom_site_label
_atom_site_fract_x
_atom_site_fract_y
_atom_site_fract_z
Ho1 0.3333 0.6667 0.2448
In1 0.0000 0.0000 0.5000
Ga1 0.0000 0.0000 0.0000
Pd1 0.3333 0.6667 0.5909
Pd2 0.3333 0.6667 0.9201
```

Largest 10 diffraction maxima, sorted by position, 10° ≤ 2θ ≤ 90°:
- 2θ = 22.8°, I 16, hkl 1 0 0
- 2θ = 30.4°, I 27, hkl 0 1 2
- 2θ = 37.9°, I 100, hkl 0 1 3
- 2θ = 40.1°, I 92, hkl 1 1 0
- 2θ = 56.3°, I 33, hkl 2 0 3
- 2θ = 66.9°, I 13, hkl 1 0 6
- 2θ = 71.3°, I 31, hkl 1 2 3
- 2θ = 72.8°, I 15, hkl 3 0 0
- 2θ = 76.4°, I 9, hkl 1 1 6
- 2θ = 86.5°, I 11, hkl 2 2 0

Entry 11:
Structure and computed X-ray powder pattern of Ho4Ga12Ir (the GGA-PBE geometry in OQMD; Cu Kα (weighted mean of Kα1 and Kα2)).
Peak positions follow from Bragg's law for the DFT cell and can differ from measured ones.

Cell and atoms:
```
data_Ho4Ga12Ir
_cell_length_a 8.584
_cell_length_b 8.584
_cell_length_c 8.584
_cell_angle_alpha 90.00
_cell_angle_beta 90.00
_cell_angle_gamma 90.00
_space_group_name_H-M_alt 'I m -3 m'
_space_group_IT_number 229
_space_group_name_Hall '-I 4 2 3'
loop_
_atom_site_label
_atom_site_fract_x
_atom_site_fract_y
_atom_site_fract_z
Ho1 0.250 0.250 0.250
Ga1 0.000 0.000 0.293
Ga2 0.000 0.250 0.500
Ir1 0.000 0.000 0.000
```

Largest 10 diffraction maxima, sorted by position, 10° ≤ 2θ ≤ 90°:
- 2θ = 29.4°, I 54, hkl 2 2 0
- 2θ = 33.0°, I 15, hkl 3 1 0
- 2θ = 36.3°, I 100, hkl 2 2 2
- 2θ = 39.3°, I 23, hkl 3 2 1
- 2θ = 42.1°, I 81, hkl 4 0 0
- 2θ = 52.2°, I 17, hkl 4 2 2
- 2θ = 61.1°, I 48, hkl 4 4 0
- 2θ = 69.2°, I 15, hkl 6 2 0
- 2θ = 73.1°, I 30, hkl 6 2 2
- 2θ = 77.0°, I 15, hkl 4 4 4

Entry 12:
Structure and computed X-ray powder pattern of NdHoGa4Ir2 (the GGA-PBE geometry in OQMD; Cu Kα (weighted mean of Kα1 and Kα2)).
Peak positions follow from Bragg's law for the DFT cell and can differ from measured ones.

Cell and atoms:
```
data_NdHoGa4Ir2
_cell_length_a 4.217
_cell_length_b 7.078
_cell_length_c 5.567
_cell_angle_alpha 90.00
_cell_angle_beta 111.93
_cell_angle_gamma 90.00
_space_group_name_H-M_alt 'P 1 m 1'
_space_group_IT_number 6
loop_
_space_group_symop_operation_xyz
'x,y,z'
'x,-y,z'
loop_
_atom_site_label
_atom_site_fract_x
_atom_site_fract_y
_atom_site_fract_z
Nd1 0.000 0.000 0.000
Ho1 0.858 0.500 0.716
Ga1 0.285 0.200 0.567
Ga2 0.575 0.306 0.153
Ir1 0.139 0.500 0.283
Ir2 0.719 0.000 0.434
```

Largest 10 diffraction maxima, sorted by position, 10° ≤ 2θ ≤ 90°:
- 2θ = 17.2°, I 26, hkl 0 0 1
- 2θ = 25.2°, I 44, hkl 0 2 0
- 2θ = 26.1°, I 19, hkl 1 1 -1
- 2θ = 34.2°, I 100, hkl 1 2 0
- 2θ = 35.9°, I 66, hkl 1 1 1
- 2θ = 36.1°, I 66, hkl 1 1 -2
- 2θ = 37.1°, I 68, hkl 0 1 2
- 2θ = 42.9°, I 50, hkl 2 0 -1
- 2θ = 44.9°, I 34, hkl 1 3 -1
- 2θ = 51.7°, I 32, hkl 0 4 0

Entry 13:
Structure and computed X-ray powder pattern of Ho2Ga4NiIr (the GGA-PBE geometry in OQMD; Cu Kα (weighted mean of Kα1 and Kα2)).
Peak positions follow from Bragg's law for the DFT cell and can differ from measured ones.

Cell and atoms:
```
data_Ho2Ga4NiIr
_cell_length_a 6.867
_cell_length_b 4.133
_cell_length_c 10.142
_cell_angle_alpha 90.00
_cell_angle_beta 90.00
_cell_angle_gamma 90.00
_space_group_name_H-M_alt 'A m m 2'
_space_group_IT_number 38
loop_
_space_group_symop_operation_xyz
'x,y,z'
'-x,-y,z'
'-x,y,z'
'x,-y,z'
'x,y+1/2,z+1/2'
'-x,-y+1/2,z+1/2'
'-x,y+1/2,z+1/2'
'x,-y+1/2,z+1/2'
loop_
_atom_site_label
_atom_site_fract_x
_atom_site_fract_y
_atom_site_fract_z
Ho1 0.000 0.000 0.000
Ho2 0.500 0.000 0.142
Ga1 0.206 0.000 0.717
Ga2 0.311 0.000 0.430
Ni1 0.500 0.000 0.860
Ir1 0.000 0.000 0.285
```

Largest 10 diffraction maxima, sorted by position, 10° ≤ 2θ ≤ 90°:
- 2θ = 23.2°, I 22, hkl 0 1 1
- 2θ = 25.9°, I 24, hkl 2 0 0
- 2θ = 35.1°, I 95, hkl 2 1 1
- 2θ = 36.8°, I 100, hkl 1 1 3
- 2θ = 37.8°, I 48, hkl 1 0 4
- 2θ = 43.5°, I 19, hkl 2 1 3
- 2θ = 43.8°, I 37, hkl 0 2 0
- 2θ = 53.2°, I 19, hkl 3 1 3
- 2θ = 59.2°, I 26, hkl 1 2 4
- 2θ = 68.6°, I 19, hkl 0 1 7

Entry 14:
Structure and computed X-ray powder pattern of PrHoGa4Ir2 (the GGA-PBE geometry in OQMD; Cu Kα (weighted mean of Kα1 and Kα2)).
Peak positions follow from Bragg's law for the DFT cell and can differ from measured ones.

Cell and atoms:
```
data_PrHoGa4Ir2
_cell_length_a 4.254
_cell_length_b 7.025
_cell_length_c 5.586
_cell_angle_alpha 90.00
_cell_angle_beta 112.12
_cell_angle_gamma 90.00
_space_group_name_H-M_alt 'P 1 m 1'
_space_group_IT_number 6
loop_
_space_group_symop_operation_xyz
'x,y,z'
'x,-y,z'
loop_
_atom_site_label
_atom_site_fract_x
_atom_site_fract_y
_atom_site_fract_z
Pr1 0.000 0.000 0.000
Ho1 0.853 0.500 0.707
Ga1 0.283 0.201 0.565
Ga2 0.572 0.307 0.147
Ir1 0.137 0.500 0.277
Ir2 0.718 0.000 0.434
```

Largest 10 diffraction maxima, sorted by position, 10° ≤ 2θ ≤ 90°:
- 2θ = 17.1°, I 26, hkl 0 0 1
- 2θ = 25.4°, I 43, hkl 0 2 0
- 2θ = 34.2°, I 100, hkl 1 2 0
- 2θ = 35.8°, I 65, hkl 1 1 1
- 2θ = 35.9°, I 65, hkl 1 1 -2
- 2θ = 37.0°, I 68, hkl 0 1 2
- 2θ = 42.4°, I 28, hkl 1 2 1
- 2θ = 42.5°, I 69, hkl 2 0 -1
- 2θ = 45.1°, I 33, hkl 1 3 -1
- 2θ = 57.5°, I 29, hkl 2 1 1

Entry 15:
Structure and computed X-ray powder pattern of HoScGa4Ir2 (the GGA-PBE geometry in OQMD; Cu Kα (weighted mean of Kα1 and Kα2)).
Peak positions follow from Bragg's law for the DFT cell and can differ from measured ones.

Cell and atoms:
```
data_HoScGa4Ir2
_cell_length_a 6.645
_cell_length_b 4.281
_cell_length_c 9.906
_cell_angle_alpha 90.00
_cell_angle_beta 90.00
_cell_angle_gamma 90.00
_space_group_name_H-M_alt 'A m m 2'
_space_group_IT_number 38
loop_
_space_group_symop_operation_xyz
'x,y,z'
'-x,-y,z'
'-x,y,z'
'x,-y,z'
'x,y+1/2,z+1/2'
'-x,-y+1/2,z+1/2'
'-x,y+1/2,z+1/2'
'x,-y+1/2,z+1/2'
loop_
_atom_site_label
_atom_site_fract_x
_atom_site_fract_y
_atom_site_fract_z
Ho1 0.000 0.000 0.000
Sc1 0.500 0.000 0.831
Ga1 0.202 0.000 0.285
Ga2 0.306 0.000 0.550
Ir1 0.000 0.000 0.712
Ir2 0.500 0.000 0.119
```

Largest 10 diffraction maxima, sorted by position, 10° ≤ 2θ ≤ 90°:
- 2θ = 17.9°, I 39, hkl 0 0 2
- 2θ = 26.3°, I 43, hkl 1 1 1
- 2θ = 26.8°, I 28, hkl 2 0 0
- 2θ = 35.4°, I 89, hkl 2 1 1
- 2θ = 36.9°, I 100, hkl 1 1 3
- 2θ = 38.8°, I 51, hkl 1 0 4
- 2θ = 42.2°, I 52, hkl 0 2 0
- 2θ = 44.1°, I 58, hkl 2 1 3
- 2θ = 47.1°, I 40, hkl 3 1 1
- 2θ = 58.7°, I 33, hkl 1 2 4